The following is a simulated X-ray diffraction stick pattern of Ba3AlN3. It was derived from the GGA-PBE geometry in Alexandria, using Cu Kα.

Structure:
Unit cell a=7.8949 b=6.7861 c=10.7938 alpha=90.00 beta=96.05 gamma=90.00
Fractional coordinates of all 28 atoms:
Ba (0.0365, 0.1452, 0.1585)
Ba (0.0365, 0.3548, 0.6585)
Ba (0.3394, 0.1788, 0.9389)
Ba (0.3394, 0.3212, 0.4389)
Ba (0.3701, 0.6778, 0.7936)
Ba (0.3701, 0.8222, 0.2936)
Ba (0.6299, 0.1778, 0.7064)
Ba (0.6299, 0.3222, 0.2064)
Ba (0.6606, 0.6788, 0.5611)
Ba (0.6606, 0.8212, 0.0611)
Ba (0.9635, 0.6452, 0.3415)
Ba (0.9635, 0.8548, 0.8415)
Al (0.1458, 0.5835, 0.0662)
Al (0.1458, 0.9165, 0.5662)
Al (0.8542, 0.0835, 0.4338)
Al (0.8542, 0.4165, 0.9338)
N (0.1020, 0.0487, 0.4059)
N (0.1020, 0.4513, 0.9059)
N (0.2346, 0.6492, 0.5480)
N (0.2346, 0.8508, 0.0480)
N (0.2882, 0.0507, 0.6998)
N (0.2882, 0.4493, 0.1998)
N (0.7118, 0.5507, 0.8002)
N (0.7118, 0.9493, 0.3002)
N (0.7654, 0.1492, 0.9520)
N (0.7654, 0.3508, 0.4520)
N (0.8980, 0.5487, 0.0941)
N (0.8980, 0.9513, 0.5941)

Principal peaks in the range 2θ = 5–70°, most intense first:
2θ 29.81, d 2.997, I = 100.0
2θ 30.21, d 2.958, I = 91.6
2θ 35.99, d 2.495, I = 62.1
2θ 24.81, d 3.588, I = 59.3
2θ 29.45, d 3.033, I = 42.1
2θ 29.58, d 3.020, I = 41.7
2θ 48.34, d 1.883, I = 39.7
2θ 34.27, d 2.617, I = 30.8